Structure and computed XRD peak list of Ni7Te (a crystal structure in OQMD, relaxed with PBE; Cu Kα X-rays).
Neutral-atom scattering factors, no anomalous dispersion.

Main lines, sorted by position (10 to 90 degrees two-theta):
d/Å  two_theta  I/Imax
8.313  10.64  29
2.254  40.01  9
2.127  42.51  100
2.040  44.41  46
1.944  46.74  35
1.869  48.72  35
1.794  50.90  26
1.691  54.25  17
1.254  75.87  18
1.231  77.58  13
1.137  85.40  12
1.119  87.07  10

Cell and atoms:
Cell lengths 2.7380, 3.3818, 33.2506 Å; angles 90.00, 90.00, 90.00 degrees
Sites, in units of the cell vectors:
Ni: 0.0000 0.0000 0.0000
Ni: 0.0000 0.0000 0.0724
Ni: 0.0000 0.0000 0.1463
Ni: 0.0000 0.0000 0.2194
Ni: 0.0000 0.0000 0.2926
Ni: 0.0000 0.0000 0.3657
Ni: 0.0000 0.0000 0.4410
Ni: 0.5000 0.5000 0.0360
Ni: 0.5000 0.5000 0.1102
Ni: 0.5000 0.5000 0.1827
Ni: 0.5000 0.5000 0.2560
Ni: 0.5000 0.5000 0.3295
Ni: 0.5000 0.5000 0.4023
Ni: 0.5000 0.5000 0.9611
Te: 0.0000 0.0000 0.9181
Te: 0.5000 0.5000 0.4842